No. 1
Calculated XRD peak list of NbSbO4 for λ = 1.5418 Å (Cu Kα), from a cell relaxed with GGA-PBE.
Lines closer than 0.1° are merged.

Atomic structure:
```
data_NbSbO4
_chemical_formula_sum 'Nb4 Sb4 O16'
_space_group_name_H-M_alt 'P n a 21'
_space_group_IT_number 33
_space_group_name_Hall 'P 2c -2n'
_cell_length_a 5.678
_cell_length_b 5.054
_cell_length_c 11.992
_cell_angle_alpha 90.00
_cell_angle_beta 90.00
_cell_angle_gamma 90.00
loop_
_atom_site_label
_atom_site_type_symbol
_atom_site_fract_x
_atom_site_fract_y
_atom_site_fract_z
Nb1 Nb 0.112 0.009 0.000
Sb1 Sb 0.022 0.443 0.252
O1 O 0.074 0.714 0.441
O2 O 0.118 0.230 0.544
O3 O 0.160 0.835 0.840
O4 O 0.181 0.164 0.151
```

Main lines, in order of rising 2θ (2θ = 10–80°):
| h k l | 2θ (°) | Rel. int. |
| --- | --- | --- |
| 0 1 1 | 19.06 | 13 |
| 1 1 1 | 24.72 | 23 |
| 1 1 2 | 27.93 | 100 |
| 0 0 4 | 29.80 | 26 |
| 2 0 0 | 31.51 | 9 |
| 2 0 4 | 43.92 | 9 |
| 0 2 4 | 47.03 | 13 |
| 2 2 1 | 48.84 | 8 |
| 1 1 6 | 51.75 | 20 |
| 1 3 2 | 59.25 | 8 |



No. 2
Calculated XRD peak list of NbSbO4 for λ = 1.5418 Å (Cu Kα), from a cell relaxed with GGA-PBE.
Lines closer than 0.1° are merged.

Atomic structure:
```
data_NbSbO4
_chemical_formula_sum 'Nb4 Sb4 O16'
_space_group_name_H-M_alt 'I 41 m d'
_space_group_IT_number 109
_space_group_name_Hall 'I 4bw -2'
_cell_length_a 7.020
_cell_length_b 7.020
_cell_length_c 6.909
_cell_angle_alpha 90.00
_cell_angle_beta 90.00
_cell_angle_gamma 90.00
loop_
_atom_site_label
_atom_site_type_symbol
_atom_site_fract_x
_atom_site_fract_y
_atom_site_fract_z
Nb1 Nb 0.000 0.000 0.000
Sb1 Sb 0.000 0.000 0.530
O1 O 0.000 0.184 0.763
O2 O 0.000 0.205 0.188
```

Main lines, in order of rising 2θ (2θ = 10–80°):
| h k l | 2θ (°) | Rel. int. |
| --- | --- | --- |
| 2 0 0 | 25.38 | 100 |
| 1 1 2 | 31.55 | 84 |
| 2 2 0 | 36.19 | 21 |
| 3 1 2 | 48.76 | 66 |
| 4 0 0 | 52.12 | 17 |
| 4 2 0 | 58.83 | 15 |
| 2 0 4 | 59.67 | 15 |
| 3 3 2 | 62.21 | 19 |
| 2 2 4 | 65.89 | 10 |
| 5 1 2 | 74.14 | 13 |



No. 3
Calculated XRD peak list of TiNbSbO6 for λ = 1.5418 Å (Cu Kα), from a cell relaxed with GGA-PBE.
Lines closer than 0.1° are merged.

Atomic structure:
```
data_TiNbSbO6
_chemical_formula_sum 'Ti2 Nb2 Sb2 O12'
_space_group_name_H-M_alt 'P -1'
_space_group_IT_number 2
_space_group_name_Hall '-P 1'
_cell_length_a 4.904
_cell_length_b 5.633
_cell_length_c 8.729
_cell_angle_alpha 92.12
_cell_angle_beta 106.27
_cell_angle_gamma 90.83
loop_
_atom_site_label
_atom_site_type_symbol
_atom_site_fract_x
_atom_site_fract_y
_atom_site_fract_z
Ti1 Ti 0.068 0.324 0.152
Nb1 Nb 0.410 0.181 0.849
Sb1 Sb 0.304 0.744 0.502
O1 O 0.102 0.913 0.775
O2 O 0.166 0.423 0.773
O3 O 0.226 0.650 0.058
O4 O 0.331 0.152 0.061
O5 O 0.350 0.417 0.361
O6 O 0.485 0.084 0.636
```

Main lines, in order of rising 2θ (2θ = 10–80°):
| h k l | 2θ (°) | Rel. int. |
| --- | --- | --- |
| 1 0 0 | 18.86 | 38 |
| 1 1 -1 | 24.68 | 35 |
| 1 -1 1 | 28.44 | 100 |
| 1 1 -2 | 28.74 | 96 |
| -1 1 2 | 29.21 | 98 |
| 1 1 1 | 29.49 | 95 |
| 0 2 0 | 31.81 | 47 |
| 0 0 3 | 32.07 | 69 |
| 2 0 2 | 49.49 | 44 |
| -1 1 5 | 55.87 | 32 |